This entry pairs a crystal structure of CsCaSmBr6 with its calculated X-ray powder pattern. Radiation: Cu Kα, 1.54184 Å. Structure: a DFT-relaxed cell (PBE, Alexandria).
Neutral-atom scattering factors, no anomalous dispersion.

Main lines, in order of rising 2θ (2θ from 5° to 70°):
- 2θ = 11.09°, intensity 25
- 2θ = 14.59°, intensity 21
- 2θ = 17.49°, intensity 91
- 2θ = 26.02°, intensity 84
- 2θ = 32.58°, intensity 100
- 2θ = 37.96°, intensity 34
- 2θ = 41.24°, intensity 40
- 2θ = 41.47°, intensity 21
- 2θ = 51.46°, intensity 23
- 2θ = 53.52°, intensity 18

Crystal structure
```
CsCaSmBr6
1.0
7.5831 0.0000 0.0000
-3.7916 6.5672 0.0000
0.0000 0.0000 15.9572
Cs Ca Sm Br
2 2 2 12
Direct
0.0000 0.0000 0.0000 Cs
0.0000 0.0000 0.5000 Cs
0.3333 0.6667 0.2500 Ca
0.6667 0.3333 0.7500 Ca
0.3333 0.6667 0.7500 Sm
0.6667 0.3333 0.2500 Sm
0.0043 0.3820 0.6453 Br
0.0043 0.6223 0.8547 Br
0.3777 0.3820 0.8547 Br
0.3777 0.9957 0.6453 Br
0.3820 0.0043 0.1453 Br
0.3820 0.3777 0.3547 Br
0.6180 0.6223 0.6453 Br
0.6180 0.9957 0.8547 Br
0.6223 0.0043 0.3547 Br
0.6223 0.6180 0.1453 Br
0.9957 0.3777 0.1453 Br
0.9957 0.6180 0.3547 Br
```